For Cd4Ag4Hg3, a crystal structure in Alexandria, relaxed with GGA-PBE gives the calculated XRD peak list in this record (Cu Kα).

Principal peaks in the range 2θ from 10° to 90°, by angle:
- 29.24°, rel. 17, (1 0 -1)
- 32.66°, rel. 24, (1 0 -4)
- 34.55°, rel. 58, (0 1 -5)
- 36.41°, rel. 100, (0 1 6)
- 36.74°, rel. 39, (1 0 -6)
- 40.62°, rel. 27, (0 0 11)
- 41.25°, rel. 18, (1 1 0)
- 41.63°, rel. 38, (1 -1 0)
- 59.57°, rel. 17, (1 -1 11)
- 60.08°, rel. 17, (2 0 0)

Atomic structure:
Lattice parameters (Å, degrees): 3.081 3.081 24.435 89.51 89.50 89.49
Space group P-1 (No. 2)
Asymmetric unit:
Cd  0.199  0.198  0.394
Cd  0.260  0.260  0.876
Ag  0.246  0.246  0.040
Ag  0.282  0.284  0.690
Hg  0.234  0.232  0.222
Hg  0.500  0.500  0.500

For Gd2PuPt, a crystal structure in Alexandria, relaxed with GGA-PBE gives the calculated XRD peak list in this record (Cu Kα).

Principal peaks in the range 2θ from 10° to 90°, by angle:
- 33.08°, rel. 100, (1 0 2)
- 35.55°, rel. 48, (1 1 0)
- 43.59°, rel. 7, (0 0 4)
- 50.87°, rel. 7, (1 0 4)
- 51.15°, rel. 17, (2 0 0)
- 57.46°, rel. 13, (1 1 4)
- 62.28°, rel. 33, (2 1 2)
- 69.42°, rel. 7, (2 0 4)
- 84.70°, rel. 7, (3 0 2)
- 86.10°, rel. 8, (3 1 0)

Atomic structure:
Lattice parameters (Å, degrees): 3.571 3.571 8.305 90.00 90.00 90.00
Space group P4/mmm (No. 123)
Asymmetric unit:
Gd  0.000  0.000  0.202
Pu  0.500  0.500  0.500
Pt  0.500  0.500  0.000

For Dy2Tm3Pu, a crystal structure in Alexandria, relaxed with GGA-PBE gives the calculated XRD peak list in this record (Cu Kα).

Principal peaks in the range 2θ from 10° to 90°, by angle:
- 29.39°, rel. 38, (0 1 3)
- 31.00°, rel. 30, (2 0 0)
- 31.71°, rel. 44, (1 3 2)
- 32.29°, rel. 100, (1 4 1)
- 32.63°, rel. 85, (1 0 3)
- 32.82°, rel. 72, (0 4 2)
- 33.17°, rel. 37, (2 1 1)
- 38.34°, rel. 36, (2 3 1)
- 57.67°, rel. 37, (2 4 4)
- 58.62°, rel. 28, (2 7 1)

Atomic structure:
Lattice parameters (Å, degrees): 5.769 13.434 9.361 90.00 90.00 90.00
Space group Imma (No. 74)
Asymmetric unit:
Dy  0.000  0.118  0.028
Tm  0.000  0.021  0.667
Tm  0.000  0.250  0.365
Pu  0.250  0.250  0.750

For TcXeO4F5, a crystal structure in Alexandria, relaxed with GGA-PBE gives the calculated XRD peak list in this record (Cu Kα).

Principal peaks in the range 2θ from 10° to 90°, by angle:
- 10.41°, rel. 23, (0 2 0)
- 19.46°, rel. 37, (0 2 1)
- 20.20°, rel. 80, (1 1 1)
- 20.90°, rel. 52, (0 4 0)
- 21.07°, rel. 77, (2 0 0)
- 25.10°, rel. 100, (1 3 1)
- 29.85°, rel. 28, (2 4 0)
- 39.48°, rel. 28, (3 3 1)
- 42.18°, rel. 24, (1 7 1)
- 44.13°, rel. 28, (1 5 2)

Atomic structure:
Lattice parameters (Å, degrees): 8.433 16.998 5.407 90.00 90.00 90.00
Space group Cmc2_1 (No. 36)
Asymmetric unit:
Tc  0.000  0.095  0.000
Xe  0.000  0.381  0.841
O  0.000  0.141  0.724
O  0.000  0.170  0.200
O  0.180  0.331  0.962
F  0.000  0.015  0.306
F  0.000  0.314  0.523
F  0.000  0.463  0.130
F  0.217  0.070  0.015